Np2CoO6: computed X-ray diffraction stick pattern (Cu Kα X-rays), based on a crystal structure in Alexandria, relaxed with GGA+U.
Intensities are scaled so that the largest is 100.

Principal peaks in the range 2θ from 10° to 80°, in order of rising 2θ:
d [Å]	2theta	Rel. int.	(hkl)
4.589	19.3	18	1 1 0
3.377	26.4	100	1 1 1
2.649	33.8	36	3 0 0
2.495	36.0	9	0 0 2
2.085	43.4	25	2 2 1
1.816	50.2	34	0 3 2
1.638	56.1	23	4 1 1
1.564	59.1	11	1 1 3
1.530	60.5	10	3 3 0
1.200	79.9	9	4 1 3

Structure:
a = 9.177 Å, b = 9.177 Å, c = 4.989 Å
α = 90.00°, β = 90.00°, γ = 120.00°
Positions (direct):
1 Np 0.000 0.317 0.000
2 Np 0.000 0.651 0.500
3 Np 0.317 0.000 0.000
4 Np 0.349 0.349 0.500
5 Np 0.651 0.000 0.500
6 Np 0.683 0.683 0.000
7 Co 0.000 0.000 0.500
8 Co 0.333 0.667 0.016
9 Co 0.667 0.333 0.984
10 O 0.104 0.878 0.278
11 O 0.110 0.547 0.241
12 O 0.122 0.225 0.278
13 O 0.221 0.443 0.784
14 O 0.222 0.779 0.784
15 O 0.225 0.122 0.722
16 O 0.438 0.890 0.241
17 O 0.443 0.221 0.216
18 O 0.453 0.562 0.241
19 O 0.547 0.110 0.759
20 O 0.557 0.778 0.784
21 O 0.562 0.453 0.759
22 O 0.775 0.896 0.278
23 O 0.778 0.557 0.216
24 O 0.779 0.222 0.216
25 O 0.878 0.104 0.722
26 O 0.890 0.438 0.759
27 O 0.896 0.775 0.722